[1]
# Ca3PrHg12
Simulated PXRD pattern, λ = 1.5418 Å (Cu Kα). Input: a cell relaxed with PBE.
Lines closer than 0.1° are merged.

The 10 most intense peaks (10 to 90 degrees two-theta), by intensity:
- 2θ = 33.0°, rel. 100, hkl 1 1 4
- 2θ = 38.2°, rel. 34, hkl 2 0 0
- 2θ = 65.8°, rel. 28, hkl 3 1 4
- 2θ = 55.3°, rel. 23, hkl 2 0 8
- 2θ = 38.4°, rel. 17, hkl 0 0 8
- 2θ = 66.1°, rel. 14, hkl 1 1 12
- 2θ = 69.2°, rel. 12, hkl 2 2 8
- 2θ = 55.2°, rel. 12, hkl 2 2 0
- 2θ = 26.8°, rel. 10, hkl 1 1 0
- 2θ = 18.8°, rel. 7, hkl 1 0 0

Structure:
```
data_Ca3PrHg12
_chemical_formula_sum 'Ca3 Pr1 Hg12'
_space_group_name_H-M_alt 'P 4/m m m'
_space_group_IT_number 123
_space_group_name_Hall '-P 4 2'
_cell_length_a 4.7094
_cell_length_b 4.7094
_cell_length_c 18.7352
_cell_angle_alpha 90.00
_cell_angle_beta 90.00
_cell_angle_gamma 90.00
loop_
_atom_site_label
_atom_site_type_symbol
_atom_site_fract_x
_atom_site_fract_y
_atom_site_fract_z
Ca1 Ca 0.0000 0.0000 0.0000
Ca2 Ca 0.0000 0.0000 0.2471
Pr1 Pr 0.0000 0.0000 0.5000
Hg1 Hg 0.0000 0.5000 0.1241
Hg2 Hg 0.0000 0.5000 0.3738
Hg3 Hg 0.5000 0.5000 0.0000
Hg4 Hg 0.5000 0.5000 0.2492
Hg5 Hg 0.5000 0.5000 0.5000
```

---

[2]
# CaPr3Hg
Simulated PXRD pattern, λ = 1.5418 Å (Cu Kα). Input: a cell relaxed with PBE.
Lines closer than 0.1° are merged.

The 10 most intense peaks (10 to 90 degrees two-theta), by intensity:
- 2θ = 32.7°, rel. 100, hkl 2 2 -2
- 2θ = 32.7°, rel. 94, hkl 2 2 1
- 2θ = 33.0°, rel. 82, hkl 2 0 2
- 2θ = 25.7°, rel. 76, hkl 0 2 1
- 2θ = 30.4°, rel. 73, hkl 4 0 -1
- 2θ = 16.2°, rel. 55, hkl 2 0 -1
- 2θ = 40.2°, rel. 47, hkl 4 2 0
- 2θ = 55.5°, rel. 42, hkl 6 2 -3
- 2θ = 58.4°, rel. 32, hkl 2 4 2
- 2θ = 46.7°, rel. 27, hkl 0 4 0

Structure:
```
data_CaPr3Hg
_chemical_formula_sum 'Ca4 Pr12 Hg4'
_space_group_name_H-M_alt 'C 1 2/m 1'
_space_group_IT_number 12
_space_group_name_Hall '-C 2y'
_cell_length_a 11.7571
_cell_length_b 7.7822
_cell_length_c 8.1875
_cell_angle_alpha 90.00
_cell_angle_beta 110.97
_cell_angle_gamma 90.00
loop_
_atom_site_label
_atom_site_type_symbol
_atom_site_fract_x
_atom_site_fract_y
_atom_site_fract_z
Ca1 Ca 0.0594 0.0000 0.2284
Pr1 Pr 0.0536 0.5000 0.2404
Pr2 Pr 0.1632 0.2448 0.6484
Hg1 Hg 0.2479 0.5000 0.9977
```

---

[3]
# CaPrHg4
Simulated PXRD pattern, λ = 1.5418 Å (Cu Kα). Input: a cell relaxed with PBE.
Lines closer than 0.1° are merged.

The 10 most intense peaks (10 to 90 degrees two-theta), by intensity:
- 2θ = 36.0°, rel. 100, hkl 1 3 -1
- 2θ = 32.0°, rel. 95, hkl 1 1 1
- 2θ = 24.3°, rel. 52, hkl 2 0 0
- 2θ = 35.9°, rel. 51, hkl 2 0 -2
- 2θ = 63.0°, rel. 48, hkl 3 3 1
- 2θ = 32.1°, rel. 48, hkl 2 2 0
- 2θ = 43.9°, rel. 45, hkl 1 3 1
- 2θ = 48.9°, rel. 30, hkl 0 2 2
- 2θ = 43.8°, rel. 23, hkl 0 0 2
- 2θ = 49.8°, rel. 20, hkl 4 0 0

Structure:
```
data_CaPrHg4
_chemical_formula_sum 'Ca2 Pr2 Hg8'
_space_group_name_H-M_alt 'C 1 2 1'
_space_group_IT_number 5
_space_group_name_Hall 'C 2y'
_cell_length_a 8.8640
_cell_length_b 8.6182
_cell_length_c 5.0095
_cell_angle_alpha 90.00
_cell_angle_beta 124.28
_cell_angle_gamma 90.00
loop_
_atom_site_label
_atom_site_type_symbol
_atom_site_fract_x
_atom_site_fract_y
_atom_site_fract_z
Ca1 Ca 0.0000 0.0000 0.0000
Pr1 Pr 0.0000 0.4972 0.5000
Hg1 Hg 0.2407 0.6658 0.2406
Hg2 Hg 0.2439 0.3318 0.2437
```

---

[4]
# CaPr2SmHg4
Simulated PXRD pattern, λ = 1.5418 Å (Cu Kα). Input: a cell relaxed with PBE.
Lines closer than 0.1° are merged.

The 10 most intense peaks (10 to 90 degrees two-theta), by intensity:
- 2θ = 33.1°, rel. 100, hkl 1 1 0
- 2θ = 59.1°, rel. 29, hkl 3 0 0
- 2θ = 47.5°, rel. 18, hkl 2 0 8
- 2θ = 59.2°, rel. 9, hkl 1 0 16
- 2θ = 79.0°, rel. 8, hkl 3 1 8
- 2θ = 79.1°, rel. 8, hkl 2 1 16
- 2θ = 23.2°, rel. 7, hkl 1 0 4
- 2θ = 69.3°, rel. 6, hkl 2 2 0
- 2θ = 69.5°, rel. 6, hkl 0 2 16
- 2θ = 53.5°, rel. 4, hkl 2 1 4

Structure:
```
data_CaPr2SmHg4
_chemical_formula_sum 'Ca3 Pr6 Sm3 Hg12'
_space_group_name_H-M_alt 'R -3 m'
_space_group_IT_number 166
_space_group_name_Hall '-R 3 2"'
_cell_length_a 5.4208
_cell_length_b 5.4208
_cell_length_c 26.4794
_cell_angle_alpha 90.00
_cell_angle_beta 90.00
_cell_angle_gamma 120.00
loop_
_atom_site_label
_atom_site_type_symbol
_atom_site_fract_x
_atom_site_fract_y
_atom_site_fract_z
Ca1 Ca 0.0000 0.0000 0.0000
Pr1 Pr 0.0000 0.0000 0.2524
Sm1 Sm 0.0000 0.0000 0.5000
Hg1 Hg 0.0000 0.0000 0.1264
Hg2 Hg 0.0000 0.0000 0.3765
```

---

[5]
# Ca3HgPt2
Simulated PXRD pattern, λ = 1.5418 Å (Cu Kα). Input: a cell relaxed with PBE.
Lines closer than 0.1° are merged.

The 10 most intense peaks (10 to 90 degrees two-theta), by intensity:
- 2θ = 35.3°, rel. 100, hkl 1 1 0
- 2θ = 24.8°, rel. 51, hkl 0 0 3
- 2θ = 63.4°, rel. 34, hkl 2 1 3
- 2θ = 57.3°, rel. 23, hkl 1 0 6
- 2θ = 43.6°, rel. 16, hkl 1 1 3
- 2θ = 50.8°, rel. 12, hkl 2 0 0
- 2θ = 85.4°, rel. 11, hkl 3 1 0
- 2θ = 80.1°, rel. 11, hkl 3 0 0
- 2θ = 74.7°, rel. 10, hkl 2 2 0
- 2θ = 50.9°, rel. 5, hkl 0 0 6

Structure:
```
data_Ca3HgPt2
_chemical_formula_sum 'Ca3 Hg1 Pt2'
_space_group_name_H-M_alt 'P 4/m m m'
_space_group_IT_number 123
_space_group_name_Hall '-P 4 2'
_cell_length_a 3.5966
_cell_length_b 3.5966
_cell_length_c 10.7687
_cell_angle_alpha 90.00
_cell_angle_beta 90.00
_cell_angle_gamma 90.00
loop_
_atom_site_label
_atom_site_type_symbol
_atom_site_fract_x
_atom_site_fract_y
_atom_site_fract_z
Ca1 Ca 0.0000 0.0000 0.0000
Ca2 Ca 0.0000 0.0000 0.3095
Hg1 Hg 0.5000 0.5000 0.5000
Pt1 Pt 0.5000 0.5000 0.1565
```

---

[6]
# Ca4Hg3Pt
Simulated PXRD pattern, λ = 1.5418 Å (Cu Kα). Input: a cell relaxed with PBE.
Lines closer than 0.1° are merged.

The 10 most intense peaks (10 to 90 degrees two-theta), by intensity:
- 2θ = 34.0°, rel. 100, hkl 1 0 4
- 2θ = 34.4°, rel. 50, hkl 1 1 0
- 2θ = 24.1°, rel. 50, hkl 1 0 0
- 2θ = 61.4°, rel. 36, hkl 2 1 4
- 2θ = 23.7°, rel. 26, hkl 0 0 4
- 2θ = 42.2°, rel. 25, hkl 1 1 4
- 2θ = 49.4°, rel. 18, hkl 2 0 0
- 2θ = 60.7°, rel. 17, hkl 1 1 8
- 2θ = 55.5°, rel. 13, hkl 2 0 4
- 2θ = 54.8°, rel. 12, hkl 1 0 8

Structure:
```
data_Ca4Hg3Pt
_chemical_formula_sum 'Ca4 Hg3 Pt1'
_space_group_name_H-M_alt 'P 4/m m m'
_space_group_IT_number 123
_space_group_name_Hall '-P 4 2'
_cell_length_a 3.6888
_cell_length_b 3.6888
_cell_length_c 15.0429
_cell_angle_alpha 90.00
_cell_angle_beta 90.00
_cell_angle_gamma 90.00
loop_
_atom_site_label
_atom_site_type_symbol
_atom_site_fract_x
_atom_site_fract_y
_atom_site_fract_z
Ca1 Ca 0.0000 0.0000 0.1085
Ca2 Ca 0.0000 0.0000 0.3703
Hg1 Hg 0.5000 0.5000 0.2414
Hg2 Hg 0.5000 0.5000 0.5000
Pt1 Pt 0.5000 0.5000 0.0000
```

---

[7]
# Ca4Hg5Pt2
Simulated PXRD pattern, λ = 1.5418 Å (Cu Kα). Input: a cell relaxed with PBE.
Lines closer than 0.1° are merged.

The 10 most intense peaks (10 to 90 degrees two-theta), by intensity:
- 2θ = 23.5°, rel. 100, hkl 0 1 0
- 2θ = 32.7°, rel. 43, hkl 1 1 2
- 2θ = 35.0°, rel. 38, hkl 2 0 -3
- 2θ = 48.0°, rel. 32, hkl 0 2 0
- 2θ = 42.6°, rel. 31, hkl 2 1 -3
- 2θ = 33.2°, rel. 29, hkl 2 1 0
- 2θ = 37.3°, rel. 29, hkl 0 0 4
- 2θ = 37.9°, rel. 28, hkl 2 0 3
- 2θ = 31.7°, rel. 26, hkl 1 1 -2
- 2θ = 22.5°, rel. 24, hkl 1 0 2

Structure:
```
data_Ca4Hg5Pt2
_chemical_formula_sum 'Ca4 Hg5 Pt2'
_space_group_name_H-M_alt 'P 1 2/m 1'
_space_group_IT_number 10
_space_group_name_Hall '-P 2y'
_cell_length_a 7.6984
_cell_length_b 3.7909
_cell_length_c 9.6822
_cell_angle_alpha 90.00
_cell_angle_beta 94.47
_cell_angle_gamma 90.00
loop_
_atom_site_label
_atom_site_type_symbol
_atom_site_fract_x
_atom_site_fract_y
_atom_site_fract_z
Ca1 Ca 0.1863 0.0000 0.3527
Ca2 Ca 0.2219 0.0000 0.9357
Hg1 Hg 0.1634 0.5000 0.6441
Hg2 Hg 0.4523 0.5000 0.1685
Hg3 Hg 0.5000 0.5000 0.5000
Pt1 Pt 0.0739 0.5000 0.1372
```

---

[8]
# Ca4HgPt3
Simulated PXRD pattern, λ = 1.5418 Å (Cu Kα). Input: a cell relaxed with PBE.
Lines closer than 0.1° are merged.

The 10 most intense peaks (10 to 90 degrees two-theta), by intensity:
- 2θ = 35.6°, rel. 100, hkl 2 2 1
- 2θ = 35.8°, rel. 49, hkl 4 0 0
- 2θ = 25.1°, rel. 49, hkl 2 0 1
- 2θ = 64.1°, rel. 36, hkl 6 2 1
- 2θ = 24.8°, rel. 26, hkl 0 2 0
- 2θ = 44.0°, rel. 24, hkl 4 2 0
- 2θ = 63.7°, rel. 18, hkl 4 4 0
- 2θ = 51.5°, rel. 17, hkl 4 0 2
- 2θ = 57.5°, rel. 11, hkl 2 4 1
- 2θ = 75.3°, rel. 11, hkl 4 4 2

Structure:
```
data_Ca4HgPt3
_chemical_formula_sum 'Ca8 Hg2 Pt6'
_space_group_name_H-M_alt 'P m m a'
_space_group_IT_number 51
_space_group_name_Hall '-P 2a 2a'
_cell_length_a 10.0404
_cell_length_b 7.1844
_cell_length_c 5.0215
_cell_angle_alpha 90.00
_cell_angle_beta 90.00
_cell_angle_gamma 90.00
loop_
_atom_site_label
_atom_site_type_symbol
_atom_site_fract_x
_atom_site_fract_y
_atom_site_fract_z
Ca1 Ca 0.0000 0.2368 0.0000
Ca2 Ca 0.2500 0.2368 0.4992
Hg1 Hg 0.0000 0.5000 0.5000
Pt1 Pt 0.0000 0.0000 0.5000
Pt2 Pt 0.2500 0.0000 0.9986
Pt3 Pt 0.2500 0.5000 0.9997
```

---

[9]
# CaPuHg6
Simulated PXRD pattern, λ = 1.5418 Å (Cu Kα). Input: a cell relaxed with PBE.
Lines closer than 0.1° are merged.

The 10 most intense peaks (10 to 90 degrees two-theta), by intensity:
- 2θ = 35.3°, rel. 100, hkl 1 2 2
- 2θ = 30.7°, rel. 25, hkl 0 2 2
- 2θ = 34.5°, rel. 24, hkl 2 0 0
- 2θ = 66.2°, rel. 22, hkl 2 4 0
- 2θ = 54.6°, rel. 20, hkl 0 4 0
- 2θ = 62.4°, rel. 20, hkl 3 2 2
- 2θ = 46.9°, rel. 16, hkl 2 2 2
- 2θ = 66.7°, rel. 16, hkl 1 4 4
- 2θ = 87.5°, rel. 8, hkl 3 4 4
- 2θ = 15.2°, rel. 8, hkl 0 0 2

Structure:
```
data_CaPuHg6
_chemical_formula_sum 'Ca2 Pu2 Hg12'
_space_group_name_H-M_alt 'A m m 2'
_space_group_IT_number 38
_space_group_name_Hall 'A 2 -2'
_cell_length_a 5.1951
_cell_length_b 6.7253
_cell_length_c 11.6453
_cell_angle_alpha 90.00
_cell_angle_beta 90.00
_cell_angle_gamma 90.00
loop_
_atom_site_label
_atom_site_type_symbol
_atom_site_fract_x
_atom_site_fract_y
_atom_site_fract_z
Ca1 Ca 0.0000 0.0000 0.0000
Pu1 Pu 0.5000 0.0000 0.6676
Hg1 Hg 0.0000 0.0000 0.5004
Hg2 Hg 0.0000 0.2492 0.2505
Hg3 Hg 0.5000 0.0000 0.1703
Hg4 Hg 0.5000 0.2440 0.4152
```

---

[10]
# RbCaHg3
Simulated PXRD pattern, λ = 1.5418 Å (Cu Kα). Input: a cell relaxed with PBE.
Lines closer than 0.1° are merged.

The 10 most intense peaks (10 to 90 degrees two-theta), by intensity:
- 2θ = 25.6°, rel. 100, hkl 1 1 1
- 2θ = 29.6°, rel. 67, hkl 2 0 0
- 2θ = 42.4°, rel. 51, hkl 2 2 0
- 2θ = 50.2°, rel. 50, hkl 3 1 1
- 2θ = 69.7°, rel. 24, hkl 4 2 0
- 2θ = 67.7°, rel. 21, hkl 3 3 1
- 2θ = 52.6°, rel. 18, hkl 2 2 2
- 2θ = 77.5°, rel. 18, hkl 4 2 2
- 2θ = 83.2°, rel. 16, hkl 5 1 1
- 2θ = 14.7°, rel. 16, hkl 1 0 0

Structure:
```
data_RbCaHg3
_chemical_formula_sum 'Rb1 Ca1 Hg3'
_space_group_name_H-M_alt 'P m -3 m'
_space_group_IT_number 221
_space_group_name_Hall '-P 4 2 3'
_cell_length_a 6.0320
_cell_length_b 6.0320
_cell_length_c 6.0320
_cell_angle_alpha 90.00
_cell_angle_beta 90.00
_cell_angle_gamma 90.00
loop_
_atom_site_label
_atom_site_type_symbol
_atom_site_fract_x
_atom_site_fract_y
_atom_site_fract_z
Rb1 Rb 0.0000 0.0000 0.0000
Ca1 Ca 0.5000 0.5000 0.5000
Hg1 Hg 0.0000 0.5000 0.5000
```

---

[11]
# RbCaHg17
Simulated PXRD pattern, λ = 1.5418 Å (Cu Kα). Input: a cell relaxed with PBE.
Lines closer than 0.1° are merged.

The 10 most intense peaks (10 to 90 degrees two-theta), by intensity:
- 2θ = 34.0°, rel. 100, hkl 0 3 3
- 2θ = 30.6°, rel. 32, hkl 3 0 0
- 2θ = 31.9°, rel. 23, hkl 2 0 5
- 2θ = 34.4°, rel. 20, hkl 1 1 6
- 2θ = 29.4°, rel. 19, hkl 0 0 6
- 2θ = 54.4°, rel. 19, hkl 3 3 0
- 2θ = 28.2°, rel. 17, hkl 0 2 4
- 2θ = 38.5°, rel. 16, hkl 2 2 3
- 2θ = 36.6°, rel. 13, hkl 1 2 5
- 2θ = 55.1°, rel. 11, hkl 0 3 9

Structure:
```
data_RbCaHg17
_chemical_formula_sum 'Rb3 Ca3 Hg51'
_space_group_name_H-M_alt 'R 3 m'
_space_group_IT_number 160
_space_group_name_Hall 'R 3 -2"'
_cell_length_a 10.1249
_cell_length_b 10.1249
_cell_length_c 18.2566
_cell_angle_alpha 90.00
_cell_angle_beta 90.00
_cell_angle_gamma 120.00
loop_
_atom_site_label
_atom_site_type_symbol
_atom_site_fract_x
_atom_site_fract_y
_atom_site_fract_z
Rb1 Rb 0.0000 0.0000 0.0000
Ca1 Ca 0.0000 0.0000 0.3212
Hg1 Hg 0.0000 0.0000 0.5316
Hg2 Hg 0.0000 0.0000 0.7010
Hg3 Hg 0.0296 0.3589 0.3053
Hg4 Hg 0.1892 0.3785 0.1058
Hg5 Hg 0.2107 0.4213 0.4898
Hg6 Hg 0.2161 0.4322 0.8409
```

---

[12]
# RbCa2Hg6
Simulated PXRD pattern, λ = 1.5418 Å (Cu Kα). Input: a cell relaxed with PBE.
Lines closer than 0.1° are merged.

The 10 most intense peaks (10 to 90 degrees two-theta), by intensity:
- 2θ = 34.7°, rel. 100, hkl 6 0 0
- 2θ = 24.0°, rel. 47, hkl 0 0 1
- 2θ = 19.8°, rel. 37, hkl 3 1 0
- 2θ = 31.1°, rel. 28, hkl 3 1 -1
- 2θ = 31.3°, rel. 28, hkl 0 2 1
- 2θ = 31.5°, rel. 27, hkl 3 1 1
- 2θ = 42.5°, rel. 22, hkl 3 3 -1
- 2θ = 42.7°, rel. 21, hkl 3 3 1
- 2θ = 62.2°, rel. 18, hkl 9 3 0
- 2θ = 49.1°, rel. 13, hkl 0 0 2

Structure:
```
data_RbCa2Hg6
_chemical_formula_sum 'Rb2 Ca4 Hg12'
_space_group_name_H-M_alt 'C 1 2/m 1'
_space_group_IT_number 12
_space_group_name_Hall '-C 2y'
_cell_length_a 15.5212
_cell_length_b 8.9607
_cell_length_c 3.7107
_cell_angle_alpha 90.00
_cell_angle_beta 90.65
_cell_angle_gamma 90.00
loop_
_atom_site_label
_atom_site_type_symbol
_atom_site_fract_x
_atom_site_fract_y
_atom_site_fract_z
Rb1 Rb 0.0000 0.0000 0.0000
Ca1 Ca 0.1666 0.5000 0.0004
Hg1 Hg 0.0000 0.3390 0.5000
Hg2 Hg 0.1695 0.1695 0.5139
```

---

[13]
# CaReHg2
Simulated PXRD pattern, λ = 1.5418 Å (Cu Kα). Input: a cell relaxed with PBE.
Lines closer than 0.1° are merged.

The 10 most intense peaks (10 to 90 degrees two-theta), by intensity:
- 2θ = 35.1°, rel. 100, hkl 0 1 2
- 2θ = 36.5°, rel. 96, hkl 1 1 0
- 2θ = 41.5°, rel. 63, hkl 1 0 2
- 2θ = 14.0°, rel. 47, hkl 0 0 1
- 2θ = 60.3°, rel. 42, hkl 1 2 2
- 2θ = 41.7°, rel. 33, hkl 0 2 0
- 2θ = 73.2°, rel. 24, hkl 2 1 2
- 2θ = 70.7°, rel. 22, hkl 1 1 4
- 2θ = 39.2°, rel. 16, hkl 1 1 1
- 2θ = 20.5°, rel. 15, hkl 0 1 0

Structure:
```
data_CaReHg2
_chemical_formula_sum 'Ca1 Re1 Hg2'
_space_group_name_H-M_alt 'P m m m'
_space_group_IT_number 47
_space_group_name_Hall '-P 2 2'
_cell_length_a 2.9966
_cell_length_b 4.3334
_cell_length_c 6.3309
_cell_angle_alpha 90.00
_cell_angle_beta 90.00
_cell_angle_gamma 90.00
loop_
_atom_site_label
_atom_site_type_symbol
_atom_site_fract_x
_atom_site_fract_y
_atom_site_fract_z
Ca1 Ca 0.0000 0.0000 0.0000
Re1 Re 0.0000 0.0000 0.5000
Hg1 Hg 0.5000 0.5000 0.2739
```

---

[14]
# CaTlHgRh
Simulated PXRD pattern, λ = 1.5418 Å (Cu Kα). Input: a cell relaxed with PBE.
Lines closer than 0.1° are merged.

The 10 most intense peaks (10 to 90 degrees two-theta), by intensity:
- 2θ = 36.2°, rel. 100, hkl 2 2 0
- 2θ = 65.1°, rel. 36, hkl 4 2 2
- 2θ = 25.4°, rel. 25, hkl 2 0 0
- 2θ = 52.1°, rel. 18, hkl 4 0 0
- 2θ = 88.0°, rel. 17, hkl 6 2 0
- 2θ = 76.8°, rel. 11, hkl 4 4 0
- 2θ = 58.9°, rel. 11, hkl 4 2 0
- 2θ = 44.7°, rel. 8, hkl 2 2 2
- 2θ = 82.5°, rel. 6, hkl 6 0 0
- 2θ = 21.9°, rel. 3, hkl 1 1 1

Structure:
```
data_CaTlHgRh
_chemical_formula_sum 'Ca4 Tl4 Hg4 Rh4'
_space_group_name_H-M_alt 'F -4 3 m'
_space_group_IT_number 216
_space_group_name_Hall 'F -4 2 3'
_cell_length_a 7.0176
_cell_length_b 7.0176
_cell_length_c 7.0176
_cell_angle_alpha 90.00
_cell_angle_beta 90.00
_cell_angle_gamma 90.00
loop_
_atom_site_label
_atom_site_type_symbol
_atom_site_fract_x
_atom_site_fract_y
_atom_site_fract_z
Ca1 Ca 0.0000 0.0000 0.0000
Tl1 Tl 0.2500 0.2500 0.7500
Hg1 Hg 0.2500 0.2500 0.2500
Rh1 Rh 0.0000 0.0000 0.5000
```